No. 1
Ho2MnAlS6: theoretical powder X-ray diffraction pattern (CuKα), based on DFT lattice parameters and positions (PBE).
Lines closer than 0.1° are merged.

Principal peaks in the range 5° ≤ 2θ ≤ 70°, most intense first:
two_theta, intensity
18.86, 100
26.35, 98
27.23, 74
42.40, 71
38.26, 53
47.59, 46
33.33, 45
48.12, 44
43.56, 26
31.63, 24

Cell lengths 6.771, 6.771, 6.771 Å; angles 57.85, 57.85, 57.85 degrees
Fractional coordinates of all 10 atoms:
Ho 0.000 0.000 0.000
Ho 0.498 0.498 0.498
Mn 0.793 0.793 0.793
Al 0.291 0.291 0.291
S 0.062 0.655 0.435
S 0.159 0.562 0.936
S 0.435 0.062 0.655
S 0.562 0.936 0.159
S 0.655 0.435 0.062
S 0.936 0.159 0.562

No. 2
Co23NiPt6: theoretical powder X-ray diffraction pattern (CuKα), based on DFT lattice parameters and positions (PBE).
Lines closer than 0.1° are merged.

Principal peaks in the range 5° ≤ 2θ ≤ 70°, most intense first:
two_theta, intensity
45.13, 100
41.28, 49
27.18, 26
31.49, 24
38.82, 17
35.32, 16
48.04, 11
62.81, 11
57.95, 8
65.73, 8

Cell lengths 8.036, 8.036, 8.036 Å; angles 60.00, 60.00, 60.00 degrees
Fractional coordinates of all 30 atoms:
Co 0.000 0.000 0.000
Co 0.000 0.000 0.500
Co 0.000 0.500 0.000
Co 0.000 0.500 0.500
Co 0.010 0.330 0.330
Co 0.120 0.120 0.120
Co 0.120 0.120 0.639
Co 0.120 0.639 0.120
Co 0.330 0.010 0.330
Co 0.330 0.330 0.010
Co 0.330 0.330 0.330
Co 0.361 0.880 0.880
Co 0.500 0.000 0.000
Co 0.500 0.000 0.500
Co 0.500 0.500 0.000
Co 0.639 0.120 0.120
Co 0.670 0.670 0.670
Co 0.670 0.670 0.990
Co 0.670 0.990 0.670
Co 0.880 0.361 0.880
Co 0.880 0.880 0.361
Co 0.880 0.880 0.880
Co 0.990 0.670 0.670
Ni 0.500 0.500 0.500
Pt 0.278 0.278 0.722
Pt 0.278 0.722 0.278
Pt 0.278 0.722 0.722
Pt 0.722 0.278 0.278
Pt 0.722 0.278 0.722
Pt 0.722 0.722 0.278